Structure and theoretical X-ray diffraction stick pattern of Zr2P2O9 (a GGA-PBE-relaxed structure; Cu Kα (weighted mean of Kα1 and Kα2)).
Lines closer than 0.1° are merged.

Peak list (10 most intense, 5° ≤ 2θ ≤ 70°, in order of falling intensity)
- 2θ 26.42, d 3.373, I = 100.0
- 2θ 14.72, d 6.018, I = 80.5
- 2θ 34.18, d 2.624, I = 75.9
- 2θ 21.51, d 4.132, I = 64.8
- 2θ 20.19, d 4.399, I = 56.5
- 2θ 51.80, d 1.765, I = 52.4
- 2θ 22.22, d 4.000, I = 48.5
- 2θ 27.79, d 3.211, I = 37.1
- 2θ 54.42, d 1.686, I = 37.0
- 2θ 25.07, d 3.551, I = 35.2

Crystal structure
abc: 5.5434 5.5434 12.0367
angles: 90.00 90.00 105.04
Fractional positions:
Zr (0.2061, 0.7939, 0.9370)
Zr (0.2939, 0.7061, 0.4370)
Zr (0.7061, 0.2939, 0.5630)
Zr (0.7939, 0.2061, 0.0630)
P (0.1067, 0.8933, 0.6466)
P (0.3933, 0.6067, 0.1466)
P (0.6067, 0.3933, 0.8534)
P (0.8933, 0.1067, 0.3534)
O (0.0000, 0.0000, 0.0000)
O (0.0155, 0.6350, 0.5848)
O (0.0628, 0.9372, 0.3764)
O (0.1350, 0.5155, 0.0848)
O (0.1388, 0.8612, 0.7707)
O (0.3612, 0.6388, 0.2707)
O (0.3650, 0.9845, 0.5848)
O (0.4372, 0.5628, 0.8764)
O (0.4845, 0.8650, 0.0848)
O (0.5000, 0.5000, 0.5000)
O (0.5155, 0.1350, 0.9152)
O (0.5628, 0.4372, 0.1236)
O (0.6350, 0.0155, 0.4152)
O (0.6388, 0.3612, 0.7293)
O (0.8612, 0.1388, 0.2293)
O (0.8650, 0.4845, 0.9152)
O (0.9372, 0.0628, 0.6236)
O (0.9845, 0.3650, 0.4152)